For Mg2Fe, a structure optimized by DFT (GGA-PBE) gives the theoretical powder diffractogram in this record (a wavelength of 1.5418 Å).

Structural model:
```
12
Lattice="4.683 0.000 0.000 0.000 14.693 0.000 0.000 0.000 3.125" Properties=species:S:1:pos:R:3 pbc="T T T"
Mg 0.000 1.253 0.781
Mg 0.000 4.159 2.344
Mg 0.000 10.534 0.781
Mg 0.000 13.440 2.344
Mg 2.342 3.188 0.781
Mg 2.342 6.094 2.344
Mg 2.342 8.599 0.781
Mg 2.342 11.505 2.344
Fe 0.000 6.486 0.781
Fe 0.000 8.207 2.344
Fe 2.342 0.861 2.344
Fe 2.342 13.833 0.781
```

Largest 12 diffraction maxima, in order of rising 2θ, 2θ from 10° to 90°:
index	2θ (°)	d/Å	I (rel.)
0 2 0	12.0	7.347	50.4
1 1 0	19.9	4.462	44.6
0 6 0	36.7	2.449	14.7
0 4 1	37.8	2.380	17.8
2 0 0	38.4	2.342	32.8
1 3 1	39.2	2.296	100.0
1 5 1	46.7	1.947	18.2
2 6 0	54.2	1.692	8.9
2 4 1	55.0	1.669	11.0
0 0 2	59.1	1.562	8.6
3 3 1	70.1	1.343	16.0
2 0 2	72.8	1.300	8.8